(1)
Theoretical XRD peak list of KDyScCl6 for CuKα, from a GGA-PBE-relaxed structure.
Peak positions follow from Bragg's law for the DFT cell and can differ from measured ones.

Structure:
```
data_KDyScCl6
_chemical_formula_sum 'K2 Dy2 Sc2 Cl12'
_space_group_name_H-M_alt 'P -3 1 c'
_space_group_IT_number 163
_space_group_name_Hall '-P 3 2c'
_cell_length_a 6.7573
_cell_length_b 6.7573
_cell_length_c 14.2432
_cell_angle_alpha 90.00
_cell_angle_beta 90.00
_cell_angle_gamma 120.00
loop_
_atom_site_label
_atom_site_type_symbol
_atom_site_fract_x
_atom_site_fract_y
_atom_site_fract_z
_atom_site_occupancy
K1 K 0.0000 0.0000 0.0000 1
Dy1 Dy 0.3333 0.6667 0.2500 1
Sc1 Sc 0.3333 0.6667 0.7500 1
Cl1 Cl 0.0079 0.3688 0.6435 1
```

Principal peaks in the range 10° ≤ 2θ ≤ 90°, low angle first:
h k l	2theta	I/Imax
0 0 2	12.43	91
1 0 0	15.14	27
1 0 1	16.38	52
1 0 2	19.63	94
1 0 3	24.14	25
1 1 2	29.26	79
1 1 4	36.67	100
2 1 2	42.81	25
3 0 0	46.56	37
2 -1 6	46.77	29

---

(2)
Theoretical XRD peak list of SbOsWSe2 for CuKα, from a GGA-PBE-relaxed structure.
Peak positions follow from Bragg's law for the DFT cell and can differ from measured ones.

Structure:
```
data_SbOsWSe2
_chemical_formula_sum 'Sb1 Os1 W1 Se2'
_space_group_name_H-M_alt 'P 4/m m m'
_space_group_IT_number 123
_space_group_name_Hall '-P 4 2'
_cell_length_a 4.663
_cell_length_b 4.663
_cell_length_c 5.669
_cell_angle_alpha 90.00
_cell_angle_beta 90.00
_cell_angle_gamma 90.00
loop_
_atom_site_label
_atom_site_type_symbol
_atom_site_fract_x
_atom_site_fract_y
_atom_site_fract_z
_atom_site_occupancy
Sb1 Sb 0.000 0.000 0.000 1
Os1 Os 0.000 0.000 0.500 1
W1 W 0.500 0.500 0.000 1
Se1 Se 0.000 0.500 0.500 1
```

Principal peaks in the range 10° ≤ 2θ ≤ 90°, low angle first:
h k l	2theta	I/Imax
1 0 1	24.72	91
1 1 0	27.04	65
1 1 1	31.38	64
0 0 2	31.56	86
2 0 0	38.61	100
1 1 2	42.03	41
2 1 1	46.39	35
2 0 2	50.70	91
2 2 0	55.75	34
2 2 2	65.49	42

---

(3)
Theoretical XRD peak list of KInGa2Pb for CuKα, from a GGA-PBE-relaxed structure.
Peak positions follow from Bragg's law for the DFT cell and can differ from measured ones.

Structure:
```
data_KInGa2Pb
_chemical_formula_sum 'K2 In2 Ga4 Pb2'
_space_group_name_H-M_alt 'I m m 2'
_space_group_IT_number 44
_cell_length_a 4.873
_cell_length_b 4.907
_cell_length_c 12.032
_cell_angle_alpha 90.00
_cell_angle_beta 90.00
_cell_angle_gamma 90.00
loop_
_space_group_symop_operation_xyz
'x,y,z'
'-x,-y,z'
'-x,y,z'
'x,-y,z'
'x+1/2,y+1/2,z+1/2'
'-x+1/2,-y+1/2,z+1/2'
'-x+1/2,y+1/2,z+1/2'
'x+1/2,-y+1/2,z+1/2'
loop_
_atom_site_label
_atom_site_type_symbol
_atom_site_fract_x
_atom_site_fract_y
_atom_site_fract_z
_atom_site_occupancy
K1 K 0.000 0.000 0.000 1
In1 In 0.000 0.500 0.761 1
Ga1 Ga 0.000 0.000 0.374 1
Ga2 Ga 0.000 0.500 0.264 1
Pb1 Pb 0.000 0.000 0.612 1
```

Principal peaks in the range 10° ≤ 2θ ≤ 90°, low angle first:
h k l	2theta	I/Imax
0 0 2	14.73	31
0 1 1	19.54	42
1 0 1	19.65	60
0 1 3	28.78	66
1 1 2	29.80	100
0 2 0	36.63	40
2 0 0	36.89	39
1 1 4	39.71	88
1 0 5	41.86	53
2 2 0	52.96	27

---

(4)
Theoretical XRD peak list of Mo3IrOs3 for CuKα, from a GGA-PBE-relaxed structure.
Peak positions follow from Bragg's law for the DFT cell and can differ from measured ones.

Structure:
```
data_Mo3IrOs3
_chemical_formula_sum 'Mo12 Ir4 Os12'
_space_group_name_H-M_alt 'C m m m'
_space_group_IT_number 65
_space_group_name_Hall '-C 2 2'
_cell_length_a 8.584
_cell_length_b 8.695
_cell_length_c 5.938
_cell_angle_alpha 90.00
_cell_angle_beta 90.00
_cell_angle_gamma 90.00
loop_
_atom_site_label
_atom_site_type_symbol
_atom_site_fract_x
_atom_site_fract_y
_atom_site_fract_z
_atom_site_occupancy
Mo1 Mo 0.000 0.000 0.248 1
Mo2 Mo 0.250 0.250 0.249 1
Ir1 Ir 0.214 0.500 0.500 1
Os1 Os 0.000 0.271 0.500 1
Os2 Os 0.000 0.279 0.000 1
Os3 Os 0.222 0.500 0.000 1
```

Principal peaks in the range 10° ≤ 2θ ≤ 90°, low angle first:
h k l	2theta	I/Imax
2 2 0	29.24	22
0 0 2	30.10	13
1 1 2	33.56	10
0 4 0	41.54	25
4 0 0	42.11	22
2 2 2	42.46	100
3 3 0	44.49	10
4 4 0	60.64	13
2 6 2	76.43	13
6 2 2	77.20	11